For Ce3ZnSi2, a PBE-relaxed structure gives the simulated powder X-ray diffraction pattern in this record (copper Kα).

Structure:
Lattice parameters (Å, degrees): 12.1740 4.1252 10.5102 90.00 90.00 90.00
Space group Pnma (No. 62)
Asymmetric unit:
Ce1 0.0404 0.2500 0.0895
Ce2 0.1305 0.7500 0.5836
Ce3 0.2079 0.2500 0.7646
Zn1 0.1263 0.2500 0.3633
Si1 0.0302 0.7500 0.3035
Si2 0.2007 0.7500 0.9850

Largest 8 diffraction maxima, sorted by position, 2θ = 10–80°:
hkl 3 0 1, 23.5°, I 33
hkl 2 1 1, 27.5°, I 34
hkl 4 0 1, 30.6°, I 26
hkl 3 1 1, 32.1°, I 19
hkl 0 1 3, 33.6°, I 100
hkl 3 1 2, 35.4°, I 54
hkl 4 1 2, 40.6°, I 26
hkl 0 2 0, 43.9°, I 31